Theoretical XRD peak list of Co3CuP4O16 for Cu Kα, from a GGA+U-relaxed structure.
Kinematic intensities with the Lorentz-polarization factor, no thermal factor.

Structure:
```
Co3CuP4O16
1.0
4.788 0.000 0.000
0.000 5.828 0.000
-0.042 0.000 9.834
Co Cu P O
3 1 4 16
Direct
0.000 0.000 0.000
0.111 0.500 0.560
0.496 0.500 0.059
0.613 0.000 0.499
0.130 0.000 0.682
0.469 0.000 0.186
0.641 0.500 0.378
0.965 0.500 0.872
0.212 0.000 0.833
0.273 0.208 0.608
0.273 0.792 0.608
0.281 0.500 0.892
0.319 0.205 0.109
0.319 0.795 0.109
0.323 0.500 0.395
0.389 0.000 0.337
0.710 0.500 0.226
0.785 0.000 0.167
0.795 0.296 0.451
0.795 0.704 0.451
0.810 0.000 0.669
0.819 0.293 0.949
0.819 0.707 0.949
0.883 0.500 0.722
```

Largest 6 diffraction maxima, sorted by position, 2θ = 10–80°:
2θ/deg	I/Imax
18.04	77
20.63	95
25.73	100
30.68	80
36.56	48
36.69	48

Theoretical XRD peak list of Ti3CoCu2P6O24 for Cu Kα, from a GGA+U-relaxed structure.
Kinematic intensities with the Lorentz-polarization factor, no thermal factor.

Structure:
```
Ti3CoCu2P6O24
1.0
4.286 2.475 6.960
-4.286 2.475 6.960
0.000 -4.949 6.960
Ti Co Cu P O
3 1 2 6 24
Direct
0.000 0.000 0.000
0.216 0.216 0.216
0.502 0.502 0.502
0.718 0.718 0.718
0.358 0.358 0.358
0.857 0.857 0.857
0.105 0.815 0.403
0.324 0.611 0.898
0.403 0.105 0.815
0.611 0.898 0.324
0.815 0.403 0.105
0.898 0.324 0.611
0.047 0.860 0.237
0.094 0.298 0.445
0.125 0.773 0.914
0.169 0.977 0.358
0.237 0.047 0.860
0.272 0.623 0.416
0.298 0.445 0.094
0.358 0.169 0.977
0.363 0.549 0.737
0.416 0.272 0.623
0.445 0.094 0.298
0.481 0.669 0.866
0.549 0.737 0.363
0.597 0.939 0.803
0.623 0.416 0.272
0.669 0.866 0.481
0.737 0.363 0.549
0.773 0.914 0.125
0.803 0.597 0.939
0.860 0.237 0.047
0.866 0.481 0.669
0.914 0.125 0.773
0.939 0.803 0.597
0.977 0.358 0.169
```

Largest 6 diffraction maxima, sorted by position, 2θ = 10–80°:
2θ/deg	I/Imax
20.73	94
24.39	100
33.16	72
36.31	36
47.58	35
49.98	27

Theoretical XRD peak list of Sr2CoCuSO3 for Cu Kα, from a GGA+U-relaxed structure.
Kinematic intensities with the Lorentz-polarization factor, no thermal factor.

Structure:
```
Sr2CoCuSO3
1.0
3.898 0.000 0.000
0.000 3.898 0.000
0.000 0.000 16.015
Sr Co Cu S O
4 2 2 2 6
Direct
0.000 0.000 0.000
0.000 0.000 0.220
0.500 0.500 0.601
0.500 0.500 0.824
0.000 0.000 0.726
0.500 0.500 0.102
0.000 0.500 0.410
0.500 0.000 0.410
0.000 0.000 0.497
0.500 0.500 0.324
0.000 0.000 0.839
0.000 0.500 0.121
0.000 0.500 0.699
0.500 0.000 0.121
0.500 0.000 0.699
0.500 0.500 0.972
```

Largest 6 diffraction maxima, sorted by position, 2θ = 10–80°:
2θ/deg	I/Imax
32.05	100
32.48	31
39.70	24
46.60	47
56.85	25
57.67	36